# 1
Starting from a DFT-relaxed cell (PBE, the Materials Project), the PXRD pattern of Fe5SiAs was computed for CuKα.

Largest 10 diffraction maxima, sorted by position, 2θ from 10° to 80°:
| Position (°2θ) | intensity |
| --- | --- |
| 26.06 | 6 |
| 33.44 | 5 |
| 40.95 | 9 |
| 41.95 | 6 |
| 42.08 | 6 |
| 44.88 | 49 |
| 45.12 | 46 |
| 45.97 | 100 |
| 66.14 | 7 |
| 66.41 | 8 |

Structure:
```
Fe5SiAs
1.0
3.419 -5.925 0.000
3.419 5.925 0.000
-0.097 0.000 12.465
Fe Si As
30 6 6
direct
0.000 0.000 0.000
0.004 0.689 0.504
0.016 0.348 0.766
0.017 0.352 0.277
0.040 0.040 0.595
0.047 0.686 0.086
0.050 0.683 0.887
0.057 0.057 0.394
0.313 0.313 0.888
0.316 0.686 0.393
0.323 0.323 0.086
0.329 0.697 0.594
0.348 0.016 0.766
0.352 0.017 0.277
0.368 0.685 0.000
0.370 0.370 0.502
0.395 0.689 0.794
0.405 0.405 0.296
0.683 0.050 0.887
0.685 0.368 0.000
0.685 0.685 0.126
0.686 0.047 0.086
0.686 0.316 0.393
0.686 0.964 0.297
0.688 0.688 0.630
0.689 0.004 0.504
0.689 0.395 0.794
0.697 0.329 0.594
0.958 0.958 0.794
0.964 0.686 0.297
0.017 0.351 0.965
0.018 0.683 0.693
0.020 0.354 0.474
0.351 0.017 0.965
0.354 0.020 0.474
0.683 0.018 0.693
0.020 0.020 0.194
0.350 0.684 0.193
0.354 0.354 0.692
0.682 0.682 0.926
0.684 0.350 0.193
0.685 0.685 0.431
```

***

# 2
Starting from a DFT-relaxed cell (PBE, the Materials Project), the PXRD pattern of Er3BeCrS7 was computed for CuKα.

Largest 10 diffraction maxima, sorted by position, 2θ from 10° to 80°:
| Position (°2θ) | intensity |
| --- | --- |
| 18.37 | 91 |
| 23.89 | 59 |
| 26.24 | 100 |
| 28.55 | 86 |
| 35.89 | 64 |
| 37.23 | 42 |
| 41.92 | 71 |
| 42.22 | 61 |
| 50.52 | 54 |
| 53.01 | 35 |

Structure:
```
Er3BeCrS7
1.0
9.552 0.000 0.000
-4.776 8.272 0.000
0.000 0.000 5.950
Er Be Cr S
6 2 2 14
direct
0.141 0.750 0.000
0.250 0.391 0.000
0.391 0.141 0.500
0.609 0.859 0.000
0.750 0.609 0.500
0.859 0.250 0.500
0.333 0.667 0.582
0.667 0.333 0.082
0.000 0.000 0.221
0.000 0.000 0.721
0.083 0.854 0.465
0.103 0.517 0.724
0.146 0.229 0.465
0.229 0.083 0.965
0.333 0.667 0.230
0.414 0.897 0.724
0.483 0.586 0.724
0.517 0.414 0.224
0.586 0.103 0.224
0.667 0.333 0.730
0.771 0.917 0.465
0.854 0.771 0.965
0.897 0.483 0.224
0.917 0.146 0.965
```

***

# 3
Starting from a DFT-relaxed cell (PBE, the Materials Project), the PXRD pattern of LiUN2 was computed for CuKα.

Largest 10 diffraction maxima, sorted by position, 2θ from 10° to 80°:
| Position (°2θ) | intensity |
| --- | --- |
| 21.86 | 100 |
| 31.68 | 31 |
| 32.24 | 22 |
| 33.19 | 59 |
| 41.34 | 25 |
| 45.83 | 17 |
| 47.24 | 27 |
| 53.00 | 16 |
| 53.37 | 22 |
| 70.21 | 16 |

Structure:
```
LiUN2
1.0
-2.184 2.184 5.553
2.184 -2.184 5.553
2.184 2.184 -5.553
Li U N
2 2 4
direct
0.375 0.625 0.750
0.625 0.375 0.250
0.125 0.875 0.250
0.875 0.125 0.750
0.084 0.334 0.750
0.334 0.084 0.250
0.666 0.916 0.750
0.916 0.666 0.250
```

***

# 4
Starting from a DFT-relaxed cell (PBE, the Materials Project), the PXRD pattern of La2MgS4 was computed for CuKα.

Largest 10 diffraction maxima, sorted by position, 2θ from 10° to 80°:
| Position (°2θ) | intensity |
| --- | --- |
| 14.20 | 82 |
| 23.16 | 93 |
| 25.82 | 100 |
| 29.10 | 29 |
| 30.64 | 28 |
| 32.59 | 57 |
| 35.62 | 29 |
| 39.48 | 30 |
| 40.06 | 54 |
| 44.85 | 27 |

Structure:
```
La2MgS4
1.0
13.248 0.000 0.000
0.000 4.042 0.000
0.000 0.000 14.143
La Mg S
8 4 16
direct
0.124 0.250 0.075
0.128 0.250 0.710
0.372 0.750 0.210
0.376 0.750 0.575
0.624 0.250 0.425
0.628 0.250 0.790
0.872 0.750 0.290
0.876 0.750 0.925
0.105 0.750 0.465
0.395 0.250 0.965
0.605 0.750 0.035
0.895 0.250 0.535
0.001 0.250 0.387
0.022 0.250 0.889
0.227 0.250 0.519
0.234 0.250 0.246
0.266 0.750 0.746
0.273 0.750 0.019
0.478 0.750 0.389
0.499 0.750 0.887
0.501 0.250 0.113
0.522 0.250 0.611
0.727 0.250 0.981
0.734 0.250 0.254
0.766 0.750 0.754
0.773 0.750 0.481
0.978 0.750 0.111
0.999 0.750 0.613
```

***

# 5
Starting from a DFT-relaxed cell (PBE, the Materials Project), the PXRD pattern of FeSi2Se4 was computed for CuKα.

Largest 10 diffraction maxima, sorted by position, 2θ from 10° to 80°:
| Position (°2θ) | intensity |
| --- | --- |
| 12.00 | 79 |
| 24.14 | 97 |
| 29.54 | 100 |
| 30.50 | 49 |
| 30.71 | 26 |
| 30.99 | 89 |
| 31.16 | 92 |
| 49.01 | 65 |
| 49.43 | 20 |
| 50.65 | 32 |

Structure:
```
FeSi2Se4
1.0
3.605 0.000 0.000
0.007 6.513 0.000
1.736 2.945 7.372
Fe Si Se
1 2 4
direct
0.000 0.000 0.000
0.424 0.406 0.154
0.576 0.594 0.846
0.127 0.450 0.735
0.392 0.037 0.223
0.608 0.963 0.777
0.873 0.550 0.265
```

***

# 6
Starting from a DFT-relaxed cell (PBE, the Materials Project), the PXRD pattern of Ba3Ir2N4 was computed for CuKα.

Largest 10 diffraction maxima, sorted by position, 2θ from 10° to 80°:
| Position (°2θ) | intensity |
| --- | --- |
| 14.73 | 44 |
| 27.69 | 84 |
| 28.74 | 100 |
| 32.50 | 51 |
| 35.21 | 21 |
| 37.03 | 33 |
| 38.30 | 41 |
| 42.05 | 26 |
| 42.69 | 24 |
| 57.95 | 22 |

Structure:
```
Ba3Ir2N4
1.0
6.030 -4.856 0.000
6.030 4.856 0.000
-0.410 0.000 5.816
Ba Ir N
6 4 8
direct
0.087 0.913 0.750
0.227 0.532 0.440
0.468 0.773 0.060
0.532 0.227 0.940
0.773 0.468 0.560
0.913 0.087 0.250
0.119 0.354 0.919
0.354 0.119 0.419
0.646 0.881 0.581
0.881 0.646 0.081
0.129 0.233 0.591
0.193 0.572 0.947
0.233 0.129 0.091
0.428 0.807 0.553
0.572 0.193 0.447
0.767 0.871 0.909
0.807 0.428 0.053
0.871 0.767 0.409
```

***

# 7
Starting from a DFT-relaxed cell (PBE, the Materials Project), the PXRD pattern of Mg3NbO4 was computed for CuKα.

Largest 10 diffraction maxima, sorted by position, 2θ from 10° to 80°:
| Position (°2θ) | intensity |
| --- | --- |
| 20.20 | 56 |
| 28.72 | 47 |
| 35.37 | 41 |
| 41.07 | 100 |
| 46.18 | 25 |
| 50.88 | 19 |
| 59.48 | 60 |
| 63.49 | 12 |
| 71.13 | 20 |
| 74.82 | 19 |

Structure:
```
Mg3NbO4
1.0
4.396 0.000 0.000
0.000 4.396 0.000
0.000 0.000 4.396
Mg Nb O
3 1 4
direct
0.000 0.000 0.500
0.000 0.500 0.000
0.500 0.000 0.000
0.500 0.500 0.500
0.000 0.000 0.000
0.000 0.500 0.500
0.500 0.000 0.500
0.500 0.500 0.000
```

***

# 8
Starting from a DFT-relaxed cell (PBE, the Materials Project), the PXRD pattern of Sm5Rh4 was computed for CuKα.

Largest 10 diffraction maxima, sorted by position, 2θ from 10° to 80°:
| Position (°2θ) | intensity |
| --- | --- |
| 31.84 | 92 |
| 32.11 | 100 |
| 33.54 | 62 |
| 34.02 | 26 |
| 34.40 | 30 |
| 35.68 | 31 |
| 36.11 | 29 |
| 37.75 | 46 |
| 37.86 | 63 |
| 57.21 | 27 |

Structure:
```
Sm5Rh4
1.0
7.501 0.000 0.000
0.000 14.925 0.000
0.000 0.000 7.648
Sm Rh
20 16
direct
0.009 0.092 0.180
0.009 0.408 0.180
0.162 0.122 0.668
0.162 0.378 0.668
0.179 0.750 0.513
0.321 0.250 0.013
0.338 0.622 0.168
0.338 0.878 0.168
0.491 0.592 0.680
0.491 0.908 0.680
0.509 0.092 0.320
0.509 0.408 0.320
0.662 0.122 0.832
0.662 0.378 0.832
0.679 0.750 0.987
0.821 0.250 0.487
0.838 0.622 0.332
0.838 0.878 0.332
0.991 0.592 0.820
0.991 0.908 0.820
0.042 0.750 0.107
0.179 0.540 0.470
0.179 0.960 0.470
0.197 0.250 0.359
0.303 0.750 0.859
0.321 0.040 0.970
0.321 0.460 0.970
0.458 0.250 0.607
0.542 0.750 0.393
0.679 0.540 0.030
0.679 0.960 0.030
0.697 0.250 0.141
0.803 0.750 0.641
0.821 0.040 0.530
0.821 0.460 0.530
0.958 0.250 0.893
```

***

# 9
Starting from a DFT-relaxed cell (PBE, the Materials Project), the PXRD pattern of CaBiO3 was computed for CuKα.

Largest 10 diffraction maxima, sorted by position, 2θ from 10° to 80°:
| Position (°2θ) | intensity |
| --- | --- |
| 21.16 | 93 |
| 29.46 | 25 |
| 30.08 | 100 |
| 30.80 | 22 |
| 43.14 | 22 |
| 48.40 | 16 |
| 48.50 | 18 |
| 52.65 | 21 |
| 54.32 | 24 |
| 62.53 | 13 |

Structure:
```
CaBiO3
1.0
5.806 0.000 0.000
0.000 6.064 0.000
-5.802 0.000 8.416
Ca Bi O
4 4 12
direct
0.237 0.059 0.251
0.237 0.441 0.751
0.763 0.559 0.249
0.763 0.941 0.749
0.000 0.000 0.500
0.000 0.500 0.000
0.500 0.000 0.000
0.500 0.500 0.500
0.129 0.179 0.932
0.129 0.321 0.432
0.259 0.699 0.930
0.259 0.801 0.430
0.395 0.066 0.762
0.395 0.434 0.262
0.605 0.566 0.738
0.605 0.934 0.238
0.741 0.199 0.570
0.741 0.301 0.070
0.871 0.679 0.568
0.871 0.821 0.068
```

***

# 10
Starting from a DFT-relaxed cell (PBE, the Materials Project), the PXRD pattern of LiAcRh2 was computed for CuKα.

Largest 7 diffraction maxima, sorted by position, 2θ from 10° to 80°:
| Position (°2θ) | intensity |
| --- | --- |
| 22.91 | 58 |
| 37.84 | 100 |
| 44.70 | 31 |
| 54.59 | 17 |
| 59.96 | 13 |
| 68.34 | 35 |
| 73.13 | 10 |

Structure:
```
LiAcRh2
1.0
0.000 3.362 3.362
3.362 0.000 3.362
3.362 3.362 0.000
Li Ac Rh
1 1 2
direct
0.000 0.000 0.000
0.500 0.500 0.500
0.250 0.250 0.250
0.750 0.750 0.750
```